[1]
The following is a theoretical powder X-ray diffraction pattern of Ag7Pb3O9. It was derived from the PBE geometry in the Materials Project, using CuKα.
Lines closer than 0.1° are merged.

Most intense lines, 5 to 70 degrees two-theta, by angle:
two_theta  I/Imax
29.63  589
32.33  443
32.44  1000
32.56  310
32.73  902
36.95  335
37.11  654
51.99  249
54.27  230
54.40  435

Structure:
```
data_Ag7Pb3O9
_chemical_formula_sum 'Ag28 Pb12 O36'
_space_group_name_H-M_alt 'C 1 2/m 1'
_space_group_IT_number 12
_space_group_name_Hall '-C 2y'
_cell_length_a 14.329
_cell_length_b 10.429
_cell_length_c 8.910
_cell_angle_alpha 90.00
_cell_angle_beta 112.19
_cell_angle_gamma 90.00
loop_
_atom_site_label
_atom_site_type_symbol
_atom_site_fract_x
_atom_site_fract_y
_atom_site_fract_z
_atom_site_occupancy
Ag1 Ag 0.078 0.000 0.422 1
Ag2 Ag 0.083 0.252 0.666 1
Ag3 Ag 0.085 0.500 0.906 1
Ag4 Ag 0.167 0.000 0.833 1
Ag5 Ag 0.246 0.500 0.754 1
Ag6 Ag 0.250 0.250 0.000 1
Pb1 Pb 0.000 0.168 0.000 1
Pb2 Pb 0.164 0.337 0.335 1
O1 O 0.040 0.188 0.272 1
O2 O 0.062 0.500 0.313 1
O3 O 0.105 0.000 0.019 1
O4 O 0.127 0.312 0.063 1
O5 O 0.208 0.311 0.606 1
O6 O 0.227 0.000 0.647 1
```

[2]
The following is a theoretical powder X-ray diffraction pattern of Ag9Pb4O12. It was derived from the PBE geometry in the Materials Project, using CuKα.
Lines closer than 0.1° are merged.

Most intense lines, 5 to 70 degrees two-theta, by angle:
two_theta  I/Imax
21.87  191
29.71  585
32.52  1000
32.79  676
37.16  434
37.26  216
52.07  316
54.45  244
54.56  201
54.70  170

Structure:
```
data_Ag9Pb4O12
_chemical_formula_sum 'Ag18 Pb8 O24'
_space_group_name_H-M_alt 'P 1 21/c 1'
_space_group_IT_number 14
_space_group_name_Hall '-P 2ybc'
_cell_length_a 8.828
_cell_length_b 10.442
_cell_length_c 12.007
_cell_angle_alpha 90.00
_cell_angle_beta 132.71
_cell_angle_gamma 90.00
loop_
_atom_site_label
_atom_site_type_symbol
_atom_site_fract_x
_atom_site_fract_y
_atom_site_fract_z
_atom_site_occupancy
Ag1 Ag 0.000 0.000 0.000 1
Ag2 Ag 0.000 0.000 0.252 1
Ag3 Ag 0.003 0.248 0.378 1
Ag4 Ag 0.232 0.244 0.740 1
Ag5 Ag 0.240 0.750 0.495 1
Pb1 Pb 0.494 0.581 0.369 1
Pb2 Pb 0.495 0.084 0.624 1
O1 O 0.307 0.749 0.217 1
O2 O 0.308 0.064 0.186 1
O3 O 0.309 0.561 0.435 1
O4 O 0.309 0.562 0.933 1
O5 O 0.312 0.248 0.971 1
O6 O 0.313 0.064 0.689 1
```